Simulated PXRD pattern
Compound: Cs2InAu2
Radiation: Cu Kα (weighted mean of Kα1 and Kα2)
Structure: a cell relaxed with PBE
No peak broadening, texture or thermal motion is included.

Crystal structure
a b c (Å): 11.880 7.254 8.679
angles (deg): 90.00 102.59 90.00
Space group C2/c (No. 15)
Symmetry-distinct sites (fractional):
Cs  0.144  0.127  0.132 (multiplicity 8)
In  0.000  0.411  0.750 (multiplicity 4)
Au  0.138  0.361  0.499 (multiplicity 8)

Main lines, low angle first (15 to 90 degrees two-theta):
- hkl 1 1 -1, 2θ 16.8, rel. 29
- hkl 0 2 1, 2θ 26.7, rel. 37
- hkl 2 0 2, 2θ 28.7, rel. 32
- hkl 2 2 -1, 2θ 29.7, rel. 79
- hkl 3 1 1, 2θ 30.1, rel. 27
- hkl 3 1 -2, 2θ 30.3, rel. 51
- hkl 4 0 0, 2θ 30.8, rel. 35
- hkl 2 2 1, 2θ 32.1, rel. 100
- hkl 4 0 -2, 2θ 33.4, rel. 97
- hkl 6 0 0, 2θ 47.0, rel. 40
- hkl 0 4 0, 2θ 50.3, rel. 29
- hkl 6 2 -1, 2θ 52.7, rel. 33

Simulated PXRD pattern
Compound: CsIn3Au
Radiation: Cu Kα (weighted mean of Kα1 and Kα2)
Structure: a cell relaxed with PBE
No peak broadening, texture or thermal motion is included.

Crystal structure
a b c (Å): 7.189 7.162 7.054
angles (deg): 90.00 120.53 90.00
Space group Cm (No. 8)
Symmetry-distinct sites (fractional):
Cs  0.000  0.000  0.000 (multiplicity 2)
In  0.391  0.000  0.782 (multiplicity 2)
In  0.494  0.250  0.487 (multiplicity 4)
Au  0.129  0.500  0.258 (multiplicity 2)

Main lines, low angle first (15 to 90 degrees two-theta):
- hkl 1 1 -1, 2θ 19.0, rel. 28
- hkl 0 2 0, 2θ 24.8, rel. 24
- hkl 1 1 1, 2θ 28.2, rel. 88
- hkl 2 0 -2, 2θ 28.9, rel. 55
- hkl 0 2 1, 2θ 28.9, rel. 54
- hkl 2 2 -1, 2θ 35.4, rel. 100
- hkl 2 0 1, 2θ 38.8, rel. 28
- hkl 0 2 2, 2θ 38.9, rel. 28
- hkl 1 1 -3, 2θ 41.2, rel. 42
- hkl 3 1 0, 2θ 45.8, rel. 24
- hkl 1 3 1, 2θ 45.9, rel. 23
- hkl 3 1 -4, 2θ 55.4, rel. 26

Simulated PXRD pattern
Compound: CsInAu
Radiation: Cu Kα (weighted mean of Kα1 and Kα2)
Structure: a cell relaxed with PBE
No peak broadening, texture or thermal motion is included.

Crystal structure
a b c (Å): 11.622 7.816 5.591
angles (deg): 90.00 118.70 90.00
Space group Cm (No. 8)
Symmetry-distinct sites (fractional):
Cs  0.000  0.000  0.000 (multiplicity 2)
Cs  0.217  0.500  0.217 (multiplicity 2)
In  0.303  0.000  0.803 (multiplicity 2)
In  0.416  0.000  0.415 (multiplicity 2)
Au  0.108  0.249  0.608 (multiplicity 4)

Main lines, low angle first (15 to 90 degrees two-theta):
- hkl 2 0 0, 2θ 17.4, rel. 23
- hkl 2 0 -1, 2θ 18.1, rel. 43
- hkl 3 1 -1, 2θ 26.3, rel. 83
- hkl 3 1 0, 2θ 28.6, rel. 24
- hkl 2 2 0, 2θ 28.8, rel. 53
- hkl 0 2 1, 2θ 29.2, rel. 100
- hkl 2 0 -2, 2θ 32.0, rel. 59
- hkl 4 2 -1, 2θ 38.6, rel. 42
- hkl 4 2 0, 2θ 42.3, rel. 25
- hkl 0 2 2, 2θ 43.6, rel. 35
- hkl 4 0 1, 2θ 47.5, rel. 38
- hkl 4 4 1, 2θ 68.6, rel. 25

Simulated PXRD pattern
Compound: CsIn12Au6
Radiation: Cu Kα (weighted mean of Kα1 and Kα2)
Structure: a cell relaxed with PBE
No peak broadening, texture or thermal motion is included.

Crystal structure
a b c (Å): 13.1944 13.1944 10.0226
angles (deg): 90.00 90.00 120.00
Space group R-3m (No. 166, hexagonal axes)
Symmetry-distinct sites (fractional):
Cs  0.0000  0.0000  0.0000 (multiplicity 3)
In  0.0000  0.3736  0.5000 (multiplicity 18)
In  0.0864  0.1728  0.3468 (multiplicity 18)
Au  0.0382  0.5191  0.2715 (multiplicity 18)

Main lines, low angle first (15 to 90 degrees two-theta):
- hkl 2 1 1, 2θ 22.4, rel. 62
- hkl 2 0 2, 2θ 23.6, rel. 41
- hkl 2 2 0, 2θ 27.0, rel. 43
- hkl 1 3 1, 2θ 29.6, rel. 95
- hkl 1 1 3, 2θ 30.0, rel. 45
- hkl 3 1 2, 2θ 33.5, rel. 40
- hkl 3 2 1, 2θ 35.4, rel. 87
- hkl 0 3 3, 2θ 35.8, rel. 90
- hkl 0 4 2, 2θ 36.2, rel. 100
- hkl 0 2 4, 2θ 39.3, rel. 75
- hkl 5 0 2, 2θ 43.5, rel. 97
- hkl 5 2 3, 2θ 57.4, rel. 37

Simulated PXRD pattern
Compound: Cs3In4Au2
Radiation: Cu Kα (weighted mean of Kα1 and Kα2)
Structure: a cell relaxed with PBE
No peak broadening, texture or thermal motion is included.

Crystal structure
a b c (Å): 14.523 4.916 10.529
angles (deg): 90.00 113.96 90.00
Space group C2/m (No. 12)
Symmetry-distinct sites (fractional):
Cs  0.000  0.000  0.000 (multiplicity 2)
Cs  0.122  0.500  0.377 (multiplicity 4)
In  0.088  0.000  0.645 (multiplicity 4)
In  0.227  0.500  0.080 (multiplicity 4)
Au  0.168  0.500  0.780 (multiplicity 4)

Main lines, low angle first (15 to 90 degrees two-theta):
- hkl 4 0 -1, 2θ 24.6, rel. 49
- hkl 1 1 -2, 2θ 24.8, rel. 45
- hkl 2 0 -3, 2θ 25.5, rel. 60
- hkl 4 0 -2, 2θ 25.7, rel. 36
- hkl 3 1 0, 2θ 27.1, rel. 100
- hkl 3 1 -2, 2θ 27.9, rel. 36
- hkl 1 1 3, 2θ 36.3, rel. 76
- hkl 0 2 0, 2θ 36.6, rel. 59
- hkl 3 1 2, 2θ 37.5, rel. 42
- hkl 2 2 -3, 2θ 45.1, rel. 27
- hkl 3 1 -5, 2θ 47.0, rel. 34
- hkl 7 1 -1, 2θ 48.7, rel. 46

Simulated PXRD pattern
Compound: Cs3K7Au2
Radiation: Cu Kα (weighted mean of Kα1 and Kα2)
Structure: a cell relaxed with PBE
No peak broadening, texture or thermal motion is included.

Crystal structure
a b c (Å): 6.792 34.710 6.774
angles (deg): 90.00 90.00 90.00
Space group Cmmm (No. 65)
Symmetry-distinct sites (fractional):
Cs  0.000  0.000  0.000 (multiplicity 2)
Cs  0.000  0.196  0.000 (multiplicity 4)
K  0.000  0.097  0.500 (multiplicity 4)
K  0.000  0.307  0.500 (multiplicity 4)
K  0.000  0.401  0.000 (multiplicity 4)
K  0.000  0.500  0.500 (multiplicity 2)
Au  0.000  0.404  0.500 (multiplicity 4)

Main lines, low angle first (15 to 90 degrees two-theta):
- hkl 0 4 1, 2θ 16.6, rel. 45
- hkl 1 5 0, 2θ 18.3, rel. 86
- hkl 1 1 1, 2θ 18.7, rel. 86
- hkl 0 6 1, 2θ 20.2, rel. 42
- hkl 0 10 0, 2θ 25.7, rel. 50
- hkl 2 0 0, 2θ 26.3, rel. 100
- hkl 1 5 2, 2θ 32.2, rel. 44
- hkl 2 6 1, 2θ 33.3, rel. 25
- hkl 1 11 1, 2θ 34.0, rel. 32
- hkl 2 10 0, 2θ 37.1, rel. 75
- hkl 2 0 2, 2θ 37.5, rel. 38
- hkl 2 10 2, 2θ 46.0, rel. 41

Simulated PXRD pattern
Compound: Cs15KAu6
Radiation: Cu Kα (weighted mean of Kα1 and Kα2)
Structure: a cell relaxed with PBE
No peak broadening, texture or thermal motion is included.

Crystal structure
a b c (Å): 14.833 14.833 14.833
angles (deg): 90.00 90.00 90.00
Space group Im-3m (No. 229)
Symmetry-distinct sites (fractional):
Cs  0.000  0.000  0.500 (multiplicity 6)
Cs  0.000  0.241  0.241 (multiplicity 24)
K  0.000  0.000  0.000 (multiplicity 2)
Au  0.000  0.000  0.247 (multiplicity 12)

Main lines, low angle first (15 to 90 degrees two-theta):
- hkl 2 2 2, 2θ 20.7, rel. 13
- hkl 3 2 1, 2θ 22.4, rel. 19
- hkl 4 0 0, 2θ 24.0, rel. 100
- hkl 5 2 1, 2θ 33.1, rel. 12
- hkl 4 4 0, 2θ 34.2, rel. 79
- hkl 5 3 2, 2θ 37.4, rel. 11
- hkl 4 4 4, 2θ 42.2, rel. 29
- hkl 8 0 0, 2θ 49.1, rel. 14
- hkl 8 4 0, 2θ 55.4, rel. 38
- hkl 8 4 4, 2θ 61.2, rel. 28
- hkl 12 0 0, 2θ 77.2, rel. 17
- hkl 12 4 0, 2θ 82.2, rel. 11

Simulated PXRD pattern
Compound: CsK7Au3
Radiation: Cu Kα (weighted mean of Kα1 and Kα2)
Structure: a cell relaxed with PBE
No peak broadening, texture or thermal motion is included.

Crystal structure
a b c (Å): 15.718 9.559 11.302
angles (deg): 90.00 133.05 90.00
Space group Cm (No. 8)
Symmetry-distinct sites (fractional):
Cs  0.000  0.000  0.000 (multiplicity 2)
K  0.007  0.500  0.993 (multiplicity 2)
K  0.081  0.500  0.655 (multiplicity 2)
K  0.088  0.000  0.664 (multiplicity 2)
K  0.260  0.250  0.504 (multiplicity 4)
K  0.331  0.246  0.164 (multiplicity 4)
Au  0.048  0.254  0.826 (multiplicity 4)
Au  0.299  0.000  0.340 (multiplicity 2)

Main lines, low angle first (15 to 90 degrees two-theta):
- hkl 0 2 1, 2θ 21.5, rel. 32
- hkl 2 0 1, 2θ 24.2, rel. 56
- hkl 2 2 -2, 2θ 24.4, rel. 100
- hkl 4 0 0, 2θ 31.1, rel. 20
- hkl 4 2 -1, 2θ 31.3, rel. 37
- hkl 4 2 -3, 2θ 31.5, rel. 36
- hkl 4 0 -4, 2θ 31.7, rel. 18
- hkl 0 4 0, 2θ 37.7, rel. 53
- hkl 2 2 -4, 2θ 39.7, rel. 15
- hkl 6 2 -2, 2θ 40.6, rel. 28
- hkl 2 4 1, 2θ 45.2, rel. 19
- hkl 8 2 -1, 2θ 60.6, rel. 18

Simulated PXRD pattern
Compound: Cs12K3Au4
Radiation: Cu Kα (weighted mean of Kα1 and Kα2)
Structure: a cell relaxed with PBE
No peak broadening, texture or thermal motion is included.

Crystal structure
a b c (Å): 14.560 14.560 14.560
angles (deg): 90.00 90.00 90.00
Space group Im-3 (No. 204)
Symmetry-distinct sites (fractional):
Cs  0.000  0.249  0.250 (multiplicity 24)
K  0.000  0.000  0.500 (multiplicity 6)
Au  0.250  0.250  0.250 (multiplicity 8)

Main lines, low angle first (15 to 90 degrees two-theta):
- hkl 2 2 2, 2θ 21.1, rel. 26
- hkl 4 0 0, 2θ 24.5, rel. 100
- hkl 4 2 0, 2θ 27.4, rel. 69
- hkl 4 4 0, 2θ 34.9, rel. 80
- hkl 6 0 0, 2θ 37.0, rel. 39
- hkl 4 4 4, 2θ 43.0, rel. 29
- hkl 6 4 0, 2θ 44.9, rel. 18
- hkl 8 2 0, 2θ 51.8, rel. 24
- hkl 8 4 0, 2θ 56.5, rel. 39
- hkl 8 4 2, 2θ 58.1, rel. 17
- hkl 8 4 4, 2θ 62.5, rel. 29
- hkl 12 0 0, 2θ 78.9, rel. 19

Simulated PXRD pattern
Compound: Cs6KAu3
Radiation: Cu Kα (weighted mean of Kα1 and Kα2)
Structure: a cell relaxed with PBE
No peak broadening, texture or thermal motion is included.

Crystal structure
a b c (Å): 9.6119 9.6119 25.6033
angles (deg): 90.00 90.00 120.00
Space group R3 (No. 146, hexagonal axes)
Symmetry-distinct sites (fractional):
Cs  0.0066  0.5410  0.0000 (multiplicity 9)
Cs  0.0157  0.3451  0.8254 (multiplicity 9)
K  0.0000  0.0000  0.9799 (multiplicity 3)
Au  0.0000  0.0000  0.2379 (multiplicity 3)
Au  0.0000  0.0000  0.4257 (multiplicity 3)
Au  0.0000  0.0000  0.7588 (multiplicity 3)

Main lines, low angle first (15 to 90 degrees two-theta):
- hkl 1 0 4, 2θ 17.5, rel. 20
- hkl 1 1 0, 2θ 18.5, rel. 24
- hkl 2 -1 3, 2θ 21.2, rel. 60
- hkl 0 2 4, 2θ 25.5, rel. 51
- hkl 2 0 5, 2θ 27.6, rel. 29
- hkl 2 -1 6, 2θ 28.0, rel. 100
- hkl 3 0 0, 2θ 32.3, rel. 41
- hkl 3 0 3, 2θ 34.0, rel. 26
- hkl 1 1 9, 2θ 36.7, rel. 36
- hkl 2 2 0, 2θ 37.4, rel. 20
- hkl 2 2 9, 2θ 49.7, rel. 23
- hkl 5 -1 6, 2θ 54.9, rel. 37

Simulated PXRD pattern
Compound: Cs2K2Au
Radiation: Cu Kα (weighted mean of Kα1 and Kα2)
Structure: a cell relaxed with PBE
No peak broadening, texture or thermal motion is included.

Crystal structure
a b c (Å): 17.048 8.733 8.766
angles (deg): 90.00 104.10 90.00
Space group C2/c (No. 15)
Symmetry-distinct sites (fractional):
Cs  0.128  0.062  0.107 (multiplicity 8)
K  0.106  0.438  0.485 (multiplicity 8)
Au  0.000  0.249  0.750 (multiplicity 4)

Main lines, low angle first (15 to 90 degrees two-theta):
- hkl 3 1 -1, 2θ 19.7, rel. 93
- hkl 3 1 1, 2θ 23.6, rel. 42
- hkl 2 2 -1, 2θ 24.2, rel. 35
- hkl 2 0 2, 2θ 25.8, rel. 61
- hkl 4 0 -2, 2θ 26.2, rel. 42
- hkl 0 2 2, 2θ 29.3, rel. 45
- hkl 2 2 -2, 2θ 29.4, rel. 72
- hkl 4 2 0, 2θ 29.8, rel. 100
- hkl 1 1 -3, 2θ 32.4, rel. 45
- hkl 1 3 1, 2θ 33.4, rel. 74
- hkl 6 0 -2, 2θ 34.2, rel. 40
- hkl 5 3 -3, 2θ 48.3, rel. 44

Simulated PXRD pattern
Compound: Cs5KAu2
Radiation: Cu Kα (weighted mean of Kα1 and Kα2)
Structure: a cell relaxed with PBE
No peak broadening, texture or thermal motion is included.

Crystal structure
a b c (Å): 7.354 16.727 18.679
angles (deg): 90.00 90.00 90.00
Space group Cmcm (No. 63)
Symmetry-distinct sites (fractional):
Cs  0.000  0.059  0.114 (multiplicity 8)
Cs  0.000  0.229  0.750 (multiplicity 4)
Cs  0.000  0.338  0.032 (multiplicity 8)
K  0.000  0.463  0.250 (multiplicity 4)
Au  0.000  0.149  0.563 (multiplicity 8)

Main lines, low angle first (15 to 90 degrees two-theta):
- hkl 1 3 1, 2θ 20.5, rel. 33
- hkl 0 2 4, 2θ 21.8, rel. 51
- hkl 1 1 4, 2θ 23.2, rel. 49
- hkl 0 4 2, 2θ 23.3, rel. 47
- hkl 2 0 0, 2θ 24.2, rel. 100
- hkl 0 4 3, 2θ 25.7, rel. 38
- hkl 0 2 5, 2θ 26.1, rel. 82
- hkl 1 5 3, 2θ 32.8, rel. 76
- hkl 2 4 2, 2θ 33.9, rel. 36
- hkl 0 6 3, 2θ 35.2, rel. 41
- hkl 2 2 5, 2θ 35.9, rel. 54
- hkl 2 6 3, 2θ 43.3, rel. 39

Simulated PXRD pattern
Compound: Cs8K3Au8
Radiation: Cu Kα (weighted mean of Kα1 and Kα2)
Structure: a cell relaxed with PBE
No peak broadening, texture or thermal motion is included.

Crystal structure
a b c (Å): 27.454 7.273 11.060
angles (deg): 90.00 109.45 90.00
Space group C2/m (No. 12)
Symmetry-distinct sites (fractional):
Cs  0.044  0.000  0.260 (multiplicity 4)
Cs  0.083  0.500  0.961 (multiplicity 4)
Cs  0.172  0.500  0.492 (multiplicity 4)
Cs  0.186  0.000  0.820 (multiplicity 4)
K  0.000  0.500  0.500 (multiplicity 2)
K  0.193  0.000  0.207 (multiplicity 4)
Au  0.049  0.500  0.257 (multiplicity 4)
Au  0.087  0.000  0.970 (multiplicity 4)
Au  0.191  0.000  0.498 (multiplicity 4)
Au  0.199  0.500  0.856 (multiplicity 4)

Main lines, low angle first (15 to 90 degrees two-theta):
- hkl 2 0 -2, 2θ 16.1, rel. 38
- hkl 4 0 1, 2θ 18.4, rel. 36
- hkl 0 2 0, 2θ 24.5, rel. 100
- hkl 6 0 1, 2θ 24.8, rel. 24
- hkl 6 0 -3, 2θ 27.1, rel. 49
- hkl 8 0 0, 2θ 27.6, rel. 42
- hkl 2 0 3, 2θ 28.7, rel. 35
- hkl 4 2 1, 2θ 30.8, rel. 29
- hkl 6 2 1, 2θ 35.1, rel. 31
- hkl 6 2 -3, 2θ 36.8, rel. 45
- hkl 8 2 0, 2θ 37.2, rel. 34
- hkl 2 2 3, 2θ 38.1, rel. 33